Calculated powder diffractogram of PrCo4P12 for Cu Kα, 1.54184 Å, from a crystal structure in the Materials Project, relaxed with PBE.
Neutral-atom scattering factors, no anomalous dispersion.

Crystal structure
```
PrCo4P12
1.0
-3.9125 3.9125 3.9125
3.9125 -3.9125 3.9125
3.9125 3.9125 -3.9125
Pr Co P
1 4 12
Direct
0.0000 0.0000 0.0000
0.0000 0.0000 0.5000
0.0000 0.5000 0.0000
0.5000 0.0000 0.0000
0.5000 0.5000 0.5000
0.1473 0.3534 0.5007
0.1473 0.6466 0.7939
0.2061 0.8527 0.3534
0.3534 0.2061 0.8527
0.3534 0.5007 0.1473
0.4993 0.8527 0.6466
0.5007 0.1473 0.3534
0.6466 0.4993 0.8527
0.6466 0.7939 0.1473
0.7939 0.1473 0.6466
0.8527 0.3534 0.2061
0.8527 0.6466 0.4993
```

Main lines, sorted by position (5 to 70 degrees two-theta):
2theta, d [Å], intensity
16.0, 5.533, 40
27.9, 3.195, 23
32.4, 2.767, 96
36.3, 2.474, 100
43.3, 2.091, 71
52.3, 1.750, 18
57.7, 1.597, 64
60.3, 1.535, 46



Calculated powder diffractogram of YZnPd for Cu Kα, 1.54184 Å, from a crystal structure in the Materials Project, relaxed with PBE.
Neutral-atom scattering factors, no anomalous dispersion.

Crystal structure
```
YZnPd
1.0
7.0843 0.0000 0.0000
0.0000 4.1252 0.0000
0.0000 0.0000 8.1709
Y Zn Pd
4 4 4
Direct
0.0465 0.2500 0.1895
0.4535 0.7500 0.6895
0.5465 0.2500 0.3105
0.9535 0.7500 0.8105
0.1344 0.2500 0.5647
0.3656 0.7500 0.0647
0.6344 0.2500 0.9353
0.8656 0.7500 0.4353
0.2492 0.7500 0.3802
0.2508 0.2500 0.8802
0.7492 0.7500 0.1198
0.7508 0.2500 0.6198
```

Main lines, sorted by position (5 to 70 degrees two-theta):
2theta, d [Å], intensity
33.4, 2.687, 86
35.2, 2.553, 100
35.3, 2.542, 20
39.7, 2.272, 68
41.7, 2.164, 35
43.9, 2.063, 45
44.3, 2.044, 48
64.1, 1.452, 31



Calculated powder diffractogram of Zr5Al3C for Cu Kα, 1.54184 Å, from a crystal structure in the Materials Project, relaxed with PBE.
Neutral-atom scattering factors, no anomalous dispersion.

Crystal structure
```
Zr5Al3C
1.0
8.3385 0.0000 0.0000
-4.1693 7.2214 0.0000
0.0000 0.0000 5.6245
Zr Al C
10 6 2
Direct
0.0000 0.2239 0.2500
0.0000 0.7761 0.7500
0.2239 0.0000 0.2500
0.2239 0.2239 0.7500
0.3333 0.6667 0.0000
0.3333 0.6667 0.5000
0.6667 0.3333 0.0000
0.6667 0.3333 0.5000
0.7761 0.0000 0.7500
0.7761 0.7761 0.2500
0.0000 0.4002 0.7500
0.0000 0.5998 0.2500
0.4002 0.0000 0.7500
0.4002 0.4002 0.2500
0.5998 0.0000 0.2500
0.5998 0.5998 0.7500
0.0000 0.0000 0.0000
0.0000 0.0000 0.5000
```

Main lines, sorted by position (5 to 70 degrees two-theta):
2theta, d [Å], intensity
32.8, 2.729, 49
34.2, 2.621, 38
36.6, 2.456, 100
37.4, 2.407, 25
38.6, 2.331, 63
54.8, 1.675, 24
58.6, 1.576, 24
59.8, 1.545, 23



Repeat the first record exactly.
Calculated powder diffractogram of PrCo4P12 for Cu Kα, 1.54184 Å, from a crystal structure in the Materials Project, relaxed with PBE.
Neutral-atom scattering factors, no anomalous dispersion.

Crystal structure
```
PrCo4P12
1.0
-3.9125 3.9125 3.9125
3.9125 -3.9125 3.9125
3.9125 3.9125 -3.9125
Pr Co P
1 4 12
Direct
0.0000 0.0000 0.0000
0.0000 0.0000 0.5000
0.0000 0.5000 0.0000
0.5000 0.0000 0.0000
0.5000 0.5000 0.5000
0.1473 0.3534 0.5007
0.1473 0.6466 0.7939
0.2061 0.8527 0.3534
0.3534 0.2061 0.8527
0.3534 0.5007 0.1473
0.4993 0.8527 0.6466
0.5007 0.1473 0.3534
0.6466 0.4993 0.8527
0.6466 0.7939 0.1473
0.7939 0.1473 0.6466
0.8527 0.3534 0.2061
0.8527 0.6466 0.4993
```

Main lines, sorted by position (5 to 70 degrees two-theta):
2theta, d [Å], intensity
16.0, 5.533, 40
27.9, 3.195, 23
32.4, 2.767, 96
36.3, 2.474, 100
43.3, 2.091, 71
52.3, 1.750, 18
57.7, 1.597, 64
60.3, 1.535, 46



Which formula does entry 1 have? PrCo4P12



What did the third record say?
Calculated powder diffractogram of Zr5Al3C for Cu Kα, 1.54184 Å, from a crystal structure in the Materials Project, relaxed with PBE.
Neutral-atom scattering factors, no anomalous dispersion.

Crystal structure
```
Zr5Al3C
1.0
8.3385 0.0000 0.0000
-4.1693 7.2214 0.0000
0.0000 0.0000 5.6245
Zr Al C
10 6 2
Direct
0.0000 0.2239 0.2500
0.0000 0.7761 0.7500
0.2239 0.0000 0.2500
0.2239 0.2239 0.7500
0.3333 0.6667 0.0000
0.3333 0.6667 0.5000
0.6667 0.3333 0.0000
0.6667 0.3333 0.5000
0.7761 0.0000 0.7500
0.7761 0.7761 0.2500
0.0000 0.4002 0.7500
0.0000 0.5998 0.2500
0.4002 0.0000 0.7500
0.4002 0.4002 0.2500
0.5998 0.0000 0.2500
0.5998 0.5998 0.7500
0.0000 0.0000 0.0000
0.0000 0.0000 0.5000
```

Main lines, sorted by position (5 to 70 degrees two-theta):
2theta, d [Å], intensity
32.8, 2.729, 49
34.2, 2.621, 38
36.6, 2.456, 100
37.4, 2.407, 25
38.6, 2.331, 63
54.8, 1.675, 24
58.6, 1.576, 24
59.8, 1.545, 23



Number 2 is which compound? YZnPd